Record 1
The following is a theoretical X-ray powder pattern of Zn2Pd. It was derived from a DFT-relaxed cell (GGA-PBE, Alexandria), using a wavelength of 1.5418 Å.
No peak broadening, texture or thermal motion is included.

Most intense lines, 2θ = 5–70°, low angle first:
| 2theta | intensity |
| --- | --- |
| 39.2 | 55 |
| 39.7 | 64 |
| 40.9 | 69 |
| 42.7 | 100 |
| 47.1 | 45 |
| 51.7 | 24 |
| 68.3 | 14 |
| 68.9 | 18 |

Crystal structure
Cell: 8.017 4.784 5.763 Å, 90.00 127.95 90.00°
Fractional positions:
Zn: 0.167 0.111 0.247
Zn: 0.167 0.889 0.747
Zn: 0.333 0.389 0.753
Zn: 0.333 0.611 0.253
Zn: 0.667 0.389 0.747
Zn: 0.667 0.611 0.247
Zn: 0.833 0.111 0.253
Zn: 0.833 0.889 0.753
Pd: 0.000 0.389 0.750
Pd: 0.000 0.611 0.250
Pd: 0.500 0.111 0.250
Pd: 0.500 0.889 0.750

Record 2
The following is a theoretical X-ray powder pattern of CeAuC. It was derived from a DFT-relaxed cell (GGA-PBE, Alexandria), using a wavelength of 1.5418 Å.
No peak broadening, texture or thermal motion is included.

Most intense lines, 2θ = 5–70°, low angle first:
| 2theta | intensity |
| --- | --- |
| 10.5 | 56 |
| 25.9 | 28 |
| 31.9 | 52 |
| 35.3 | 17 |
| 38.5 | 100 |
| 52.0 | 17 |
| 61.2 | 24 |
| 62.2 | 17 |

Crystal structure
Cell: 3.521 16.846 3.771 Å, 90.00 90.00 90.00°
Fractional positions:
Ce: 0.000 0.083 0.250
Ce: 0.000 0.917 0.750
Ce: 0.500 0.417 0.750
Ce: 0.500 0.583 0.250
Au: 0.000 0.245 0.750
Au: 0.000 0.755 0.250
Au: 0.500 0.255 0.250
Au: 0.500 0.745 0.750
C: 0.000 0.446 0.250
C: 0.000 0.554 0.750
C: 0.500 0.054 0.750
C: 0.500 0.946 0.250

Record 3
The following is a theoretical X-ray powder pattern of CaInHg. It was derived from a DFT-relaxed cell (GGA-PBE, Alexandria), using a wavelength of 1.5418 Å.
No peak broadening, texture or thermal motion is included.

Most intense lines, 2θ = 5–70°, low angle first:
| 2theta | intensity |
| --- | --- |
| 15.8 | 18 |
| 20.5 | 41 |
| 24.1 | 53 |
| 31.8 | 86 |
| 35.9 | 100 |
| 43.7 | 68 |
| 48.7 | 17 |
| 62.5 | 39 |

Crystal structure
Cell: 5.016 7.381 8.659 Å, 90.00 90.00 90.00°
Fractional positions:
Ca: 0.000 0.000 0.000
Ca: 0.000 0.500 0.000
Ca: 0.500 0.000 0.500
Ca: 0.500 0.500 0.500
In: 0.000 0.250 0.335
In: 0.000 0.750 0.665
In: 0.500 0.250 0.165
In: 0.500 0.750 0.835
Hg: 0.000 0.250 0.668
Hg: 0.000 0.750 0.332
Hg: 0.500 0.250 0.832
Hg: 0.500 0.750 0.168

Record 4
The following is a theoretical X-ray powder pattern of LiB6C6. It was derived from a DFT-relaxed cell (GGA-PBE, Alexandria), using a wavelength of 1.5418 Å.
No peak broadening, texture or thermal motion is included.

Most intense lines, 2θ = 5–70°, low angle first:
| 2theta | intensity |
| --- | --- |
| 14.3 | 100 |
| 16.2 | 10 |
| 22.8 | 15 |
| 27.5 | 9 |
| 28.8 | 21 |
| 38.4 | 14 |
| 42.3 | 7 |
| 43.7 | 9 |

Crystal structure
Cell: 6.712 6.712 7.811 Å, 122.74 122.74 23.47°
Fractional positions:
Li: 0.000 0.000 0.000
B: 0.028 0.028 0.713
B: 0.333 0.333 0.931
B: 0.358 0.358 0.358
B: 0.642 0.642 0.642
B: 0.667 0.667 0.069
B: 0.972 0.972 0.287
C: 0.071 0.071 0.538
C: 0.223 0.223 0.176
C: 0.434 0.434 0.167
C: 0.566 0.566 0.833
C: 0.777 0.777 0.824
C: 0.929 0.929 0.462

Record 5
The following is a theoretical X-ray powder pattern of Ge4Se5. It was derived from a DFT-relaxed cell (GGA-PBE, Alexandria), using a wavelength of 1.5418 Å.
No peak broadening, texture or thermal motion is included.

Most intense lines, 2θ = 5–70°, low angle first:
| 2theta | intensity |
| --- | --- |
| 14.4 | 10 |
| 19.1 | 12 |
| 32.4 | 100 |
| 32.6 | 50 |
| 46.5 | 35 |
| 46.7 | 71 |
| 58.0 | 36 |
| 67.9 | 10 |

Crystal structure
Cell: 6.755 6.755 6.755 Å, 99.52 99.52 132.02°
Fractional positions:
Ge: 0.081 0.298 0.379
Ge: 0.298 0.919 0.217
Ge: 0.702 0.081 0.783
Ge: 0.919 0.702 0.621
Se: 0.000 0.000 0.000
Se: 0.199 0.600 0.799
Se: 0.400 0.199 0.598
Se: 0.600 0.801 0.402
Se: 0.801 0.400 0.201

Record 6
The following is a theoretical X-ray powder pattern of NdSm6Cd6. It was derived from a DFT-relaxed cell (GGA-PBE, Alexandria), using a wavelength of 1.5418 Å.
No peak broadening, texture or thermal motion is included.

Most intense lines, 2θ = 5–70°, low angle first:
| 2theta | intensity |
| --- | --- |
| 28.8 | 43 |
| 29.2 | 61 |
| 31.2 | 36 |
| 33.2 | 100 |
| 33.8 | 44 |
| 35.6 | 41 |
| 37.4 | 84 |
| 56.7 | 41 |

Crystal structure
Cell: 6.124 6.124 11.481 Å, 90.00 90.00 120.00°
Fractional positions:
Nd: 0.000 0.000 0.000
Sm: 0.000 0.000 0.348
Sm: 0.000 0.000 0.652
Sm: 0.333 0.667 0.000
Sm: 0.333 0.667 0.500
Sm: 0.667 0.333 0.000
Sm: 0.667 0.333 0.500
Cd: 0.000 0.500 0.240
Cd: 0.000 0.500 0.760
Cd: 0.500 0.000 0.240
Cd: 0.500 0.000 0.760
Cd: 0.500 0.500 0.240
Cd: 0.500 0.500 0.760

Record 7
The following is a theoretical X-ray powder pattern of B7C3. It was derived from a DFT-relaxed cell (GGA-PBE, Alexandria), using a wavelength of 1.5418 Å.
No peak broadening, texture or thermal motion is included.

Most intense lines, 2θ = 5–70°, low angle first:
| 2theta | intensity |
| --- | --- |
| 25.2 | 31 |
| 28.8 | 46 |
| 38.6 | 100 |
| 40.1 | 60 |
| 42.2 | 5 |
| 63.4 | 7 |
| 66.1 | 31 |
| 67.4 | 12 |

Crystal structure
Cell: 7.484 7.484 7.484 Å, 159.34 38.27 148.14°
Fractional positions:
B: 0.000 0.000 0.000
B: 0.333 0.601 0.731
B: 0.422 0.992 0.430
B: 0.563 0.992 0.570
B: 0.593 0.709 0.884
B: 0.825 0.709 0.116
B: 0.870 0.601 0.269
C: 0.136 0.932 0.204
C: 0.200 0.700 0.500
C: 0.728 0.932 0.796

Record 8
The following is a theoretical X-ray powder pattern of RbHf3C. It was derived from a DFT-relaxed cell (GGA-PBE, Alexandria), using a wavelength of 1.5418 Å.
No peak broadening, texture or thermal motion is included.

Most intense lines, 2θ = 5–70°, low angle first:
| 2theta | intensity |
| --- | --- |
| 18.8 | 8 |
| 26.7 | 4 |
| 32.8 | 100 |
| 38.1 | 54 |
| 42.8 | 4 |
| 54.9 | 37 |
| 65.5 | 42 |
| 68.8 | 13 |

Crystal structure
Cell: 4.729 4.729 4.729 Å, 90.00 90.00 90.00°
Fractional positions:
Rb: 0.000 0.000 0.000
Hf: 0.000 0.500 0.500
Hf: 0.500 0.000 0.500
Hf: 0.500 0.500 0.000
C: 0.500 0.500 0.500

Record 9
The following is a theoretical X-ray powder pattern of TiTlInBr6. It was derived from a DFT-relaxed cell (GGA-PBE, Alexandria), using a wavelength of 1.5418 Å.
No peak broadening, texture or thermal motion is included.

Most intense lines, 2θ = 5–70°, low angle first:
| 2theta | intensity |
| --- | --- |
| 19.0 | 100 |
| 26.8 | 23 |
| 26.9 | 82 |
| 30.1 | 33 |
| 30.4 | 25 |
| 36.0 | 85 |
| 38.3 | 58 |
| 40.7 | 26 |

Crystal structure
Cell: 7.702 7.702 6.542 Å, 90.04 90.04 120.18°
Fractional positions:
Ti: 0.000 0.000 0.000
Tl: 0.333 0.667 0.000
In: 0.666 0.334 0.500
Br: 0.270 0.005 0.774
Br: 0.272 0.267 0.226
Br: 0.733 0.728 0.774
Br: 0.735 0.005 0.227
Br: 0.995 0.265 0.773
Br: 0.995 0.730 0.226

Record 10
The following is a theoretical X-ray powder pattern of TbNd2Ho6Mg. It was derived from a DFT-relaxed cell (GGA-PBE, Alexandria), using a wavelength of 1.5418 Å.
No peak broadening, texture or thermal motion is included.

Most intense lines, 2θ = 5–70°, low angle first:
| 2theta | intensity |
| --- | --- |
| 27.3 | 15 |
| 27.8 | 26 |
| 28.8 | 21 |
| 31.8 | 59 |
| 33.0 | 100 |
| 33.3 | 30 |
| 56.2 | 17 |
| 56.4 | 14 |

Crystal structure
Cell: 10.970 10.970 6.622 Å, 94.10 94.10 126.41°
Fractional positions:
Tb: 0.007 0.993 0.750
Tb: 0.993 0.007 0.250
Nd: 0.186 0.350 0.000
Nd: 0.350 0.186 0.500
Nd: 0.650 0.814 0.500
Nd: 0.814 0.650 0.000
Ho: 0.086 0.563 0.777
Ho: 0.089 0.794 0.472
Ho: 0.206 0.911 0.028
Ho: 0.295 0.471 0.516
Ho: 0.437 0.914 0.723
Ho: 0.471 0.295 0.016
Ho: 0.529 0.705 0.984
Ho: 0.563 0.086 0.277
Ho: 0.705 0.529 0.484
Ho: 0.794 0.089 0.972
Ho: 0.911 0.206 0.528
Ho: 0.914 0.437 0.223
Mg: 0.293 0.707 0.250
Mg: 0.707 0.293 0.750

Record 11
The following is a theoretical X-ray powder pattern of Dy5InSb2. It was derived from a DFT-relaxed cell (GGA-PBE, Alexandria), using a wavelength of 1.5418 Å.
No peak broadening, texture or thermal motion is included.

Most intense lines, 2θ = 5–70°, low angle first:
| 2theta | intensity |
| --- | --- |
| 30.0 | 49 |
| 31.5 | 52 |
| 31.8 | 22 |
| 33.7 | 100 |
| 36.6 | 16 |
| 45.4 | 17 |
| 57.5 | 22 |
| 64.0 | 14 |

Crystal structure
Cell: 6.392 6.392 14.719 Å, 90.00 90.00 127.32°
Fractional positions:
Dy: 0.075 0.925 0.598
Dy: 0.075 0.925 0.902
Dy: 0.378 0.622 0.550
Dy: 0.378 0.622 0.950
Dy: 0.412 0.588 0.250
Dy: 0.588 0.412 0.750
Dy: 0.622 0.378 0.050
Dy: 0.622 0.378 0.450
Dy: 0.925 0.075 0.098
Dy: 0.925 0.075 0.402
In: 0.293 0.707 0.750
In: 0.707 0.293 0.250
Sb: 0.203 0.797 0.111
Sb: 0.203 0.797 0.389
Sb: 0.797 0.203 0.611
Sb: 0.797 0.203 0.889

Record 12
The following is a theoretical X-ray powder pattern of CaH2CClO3. It was derived from a DFT-relaxed cell (GGA-PBE, Alexandria), using a wavelength of 1.5418 Å.
No peak broadening, texture or thermal motion is included.

Most intense lines, 2θ = 5–70°, low angle first:
| 2theta | intensity |
| --- | --- |
| 15.0 | 13 |
| 16.3 | 100 |
| 19.1 | 29 |
| 27.6 | 67 |
| 30.0 | 37 |
| 32.2 | 33 |
| 41.9 | 30 |
| 48.5 | 16 |

Crystal structure
Cell: 6.491 6.491 7.103 Å, 91.81 91.81 113.99°
Fractional positions:
Ca: 0.237 0.237 0.363
Ca: 0.763 0.763 0.637
H: 0.182 0.788 0.386
H: 0.212 0.818 0.614
H: 0.788 0.182 0.386
H: 0.818 0.212 0.614
C: 0.073 0.927 0.000
C: 0.927 0.073 0.000
Cl: 0.399 0.399 0.720
Cl: 0.601 0.601 0.280
O: 0.041 0.791 0.860
O: 0.146 0.854 0.500
O: 0.209 0.959 0.140
O: 0.791 0.041 0.860
O: 0.854 0.146 0.500
O: 0.959 0.209 0.140

Record 13
The following is a theoretical X-ray powder pattern of Mg2Cu2Se. It was derived from a DFT-relaxed cell (GGA-PBE, Alexandria), using a wavelength of 1.5418 Å.
No peak broadening, texture or thermal motion is included.

Most intense lines, 2θ = 5–70°, low angle first:
| 2theta | intensity |
| --- | --- |
| 13.6 | 30 |
| 25.2 | 34 |
| 27.3 | 41 |
| 28.0 | 55 |
| 37.5 | 100 |
| 44.9 | 27 |
| 45.7 | 69 |
| 61.6 | 22 |

Crystal structure
Cell: 4.041 7.305 6.534 Å, 90.00 90.00 90.00°
Fractional positions:
Mg: 0.000 0.000 0.235
Mg: 0.000 0.000 0.765
Mg: 0.500 0.500 0.235
Mg: 0.500 0.500 0.765
Cu: 0.000 0.335 0.000
Cu: 0.000 0.665 0.000
Cu: 0.500 0.165 0.000
Cu: 0.500 0.835 0.000
Se: 0.000 0.500 0.500
Se: 0.500 0.000 0.500